This entry pairs a crystal structure of Rb3Ti with its simulated X-ray diffraction stick pattern. Radiation: Cu Kα. Structure: a crystal structure in the Materials Project, relaxed with GGA-PBE.

```
Rb3Ti
1.0
6.403 0.000 0.000
0.000 6.403 0.000
0.000 0.000 12.197
Rb Ti
6 2
direct
0.000 0.000 0.000
0.000 0.500 0.250
0.000 0.500 0.750
0.500 0.000 0.250
0.500 0.000 0.750
0.500 0.500 0.500
0.000 0.000 0.500
0.500 0.500 0.000
```

Peak list (10 most intense, 15 to 90 degrees two-theta, by intensity)
2θ/deg, d/Å, intensity, hkl
24.5, 3.635, 100, 1 1 2
27.9, 3.201, 36, 2 0 0
47.3, 1.922, 32, 3 1 2
40.9, 2.208, 25, 2 0 4
29.3, 3.049, 16, 0 0 4
49.1, 1.855, 15, 1 1 6
39.8, 2.264, 13, 2 2 0
50.2, 1.818, 13, 2 2 4
65.0, 1.435, 12, 3 1 6
73.0, 1.296, 9, 4 2 4